Entry 1:
This entry pairs a crystal structure of Tb5ZnRu4 with its simulated powder diffraction line list. Radiation: a wavelength of 1.5418 Å. Structure: the GGA-PBE geometry in Alexandria.
Kinematic intensities with the Lorentz-polarization factor, no thermal factor.

Cell and atoms:
```
Tb5ZnRu4
1.0
3.430 0.000 0.000
0.000 3.430 0.000
0.000 0.000 17.496
Tb Zn Ru
5 1 4
Direct
0.000 0.000 0.000 Tb
0.000 0.000 0.194 Tb
0.000 0.000 0.388 Tb
0.000 0.000 0.612 Tb
0.000 0.000 0.806 Tb
0.500 0.500 0.500 Zn
0.500 0.500 0.098 Ru
0.500 0.500 0.296 Ru
0.500 0.500 0.704 Ru
0.500 0.500 0.902 Ru
```

Principal peaks in the range 10 to 90 degrees two-theta, low angle first:
3.499 Å, I 3
3.430 Å, I 7
2.450 Å, I 100
2.426 Å, I 51
2.222 Å, I 3
1.750 Å, I 8
1.715 Å, I 18
1.419 Å, I 15
1.405 Å, I 34
1.225 Å, I 9
1.213 Å, I 6
1.104 Å, I 6

---

Entry 2:
This entry pairs a crystal structure of Tb2ZrRu with its simulated powder diffraction line list. Radiation: a wavelength of 1.5418 Å. Structure: the GGA-PBE geometry in Alexandria.
Kinematic intensities with the Lorentz-polarization factor, no thermal factor.

Cell and atoms:
```
Tb2ZrRu
1.0
1.651 0.953 10.526
-1.651 0.953 10.526
0.000 -1.906 10.526
Tb Zr Ru
2 1 1
Direct
0.101 0.101 0.101 Tb
0.899 0.899 0.899 Tb
0.000 0.000 0.000 Zr
0.500 0.500 0.500 Ru
```

Principal peaks in the range 10 to 90 degrees two-theta, low angle first:
3.509 Å, I 34
2.848 Å, I 53
2.814 Å, I 72
2.605 Å, I 74
2.316 Å, I 49
2.120 Å, I 100
2.026 Å, I 17
1.651 Å, I 46
1.494 Å, I 17
1.382 Å, I 25
1.303 Å, I 20
1.299 Å, I 17

---

Entry 3:
This entry pairs a crystal structure of Tb2ZrRu3 with its simulated powder diffraction line list. Radiation: a wavelength of 1.5418 Å. Structure: the GGA-PBE geometry in Alexandria.
Kinematic intensities with the Lorentz-polarization factor, no thermal factor.

Cell and atoms:
```
Tb2ZrRu3
1.0
2.377 -7.114 0.000
2.377 7.114 0.000
0.000 0.000 6.770
Tb Zr Ru
4 2 6
Direct
0.000 0.000 0.000 Tb
0.000 0.000 0.500 Tb
0.334 0.666 0.000 Tb
0.666 0.334 0.000 Tb
0.332 0.668 0.500 Zr
0.668 0.332 0.500 Zr
0.171 0.829 0.265 Ru
0.171 0.829 0.735 Ru
0.500 0.500 0.260 Ru
0.500 0.500 0.740 Ru
0.829 0.171 0.265 Ru
0.829 0.171 0.735 Ru
```

Principal peaks in the range 10 to 90 degrees two-theta, low angle first:
3.357 Å, I 2
3.008 Å, I 3
2.384 Å, I 100
2.374 Å, I 50
1.692 Å, I 8
1.679 Å, I 17
1.378 Å, I 17
1.374 Å, I 17
1.371 Å, I 17
1.192 Å, I 10
1.188 Å, I 3
1.186 Å, I 3

---

Entry 4:
This entry pairs a crystal structure of TbZr5Ru6 with its simulated powder diffraction line list. Radiation: a wavelength of 1.5418 Å. Structure: the GGA-PBE geometry in Alexandria.
Kinematic intensities with the Lorentz-polarization factor, no thermal factor.

Cell and atoms:
```
TbZr5Ru6
1.0
2.329 -7.009 0.000
2.329 7.009 0.000
0.000 0.000 6.597
Tb Zr Ru
1 5 6
Direct
0.000 0.000 0.000 Tb
0.000 0.000 0.500 Zr
0.332 0.668 0.000 Zr
0.333 0.667 0.500 Zr
0.667 0.333 0.500 Zr
0.668 0.332 0.000 Zr
0.170 0.830 0.253 Ru
0.170 0.830 0.747 Ru
0.500 0.500 0.258 Ru
0.500 0.500 0.742 Ru
0.830 0.170 0.253 Ru
0.830 0.170 0.747 Ru
```

Principal peaks in the range 10 to 90 degrees two-theta, low angle first:
3.672 Å, I 1
2.951 Å, I 1
2.333 Å, I 100
2.329 Å, I 20
1.649 Å, I 20
1.348 Å, I 20
1.346 Å, I 20
1.168 Å, I 2
1.166 Å, I 8
1.165 Å, I 2

---

Q: Which formula does entry 1 have?
A: Tb5ZnRu4